(1)
Computed powder XRD pattern of CrInSnCl6 for Cu Kα X-rays, from a cell relaxed with PBE.
Kinematic intensities with the Lorentz-polarization factor, no thermal factor.

Crystal structure
Lattice parameters (Å, degrees): 6.9217 6.9217 6.6514 90.00 90.00 120.00
Space group P312 (No. 149)
Unique sites:
1 Cr 0.0000 0.0000 0.0000 x1
2 In 0.3333 0.6667 0.5000 x1
3 Sn 0.6667 0.3333 0.0000 x1
4 Cl 0.2817 0.0067 0.2095 x6

Most intense lines, 5° ≤ 2θ ≤ 70°, low angle first:
2theta	I (rel.)	(hkl)
13.31	13	0 0 1
19.94	100	1 0 1
25.74	22	1 1 0
29.09	24	2 -1 1
32.77	26	2 0 1
37.51	61	2 -1 2
42.13	33	3 -1 1
45.39	22	3 0 0
58.22	12	2 1 3
60.29	13	2 2 2

---

(2)
Computed powder XRD pattern of VCrInCl6 for Cu Kα X-rays, from a cell relaxed with PBE.
Kinematic intensities with the Lorentz-polarization factor, no thermal factor.

Crystal structure
Lattice parameters (Å, degrees): 6.3257 6.3257 7.0706 90.00 90.00 120.00
Space group P312 (No. 149)
Unique sites:
1 V 0.0000 0.0000 0.0000 x1
2 Cr 0.3333 0.6667 0.0000 x1
3 In 0.6667 0.3333 0.5000 x1
4 Cl 0.0351 0.3374 0.8081 x6

Most intense lines, 5° ≤ 2θ ≤ 70°, low angle first:
2theta	I (rel.)	(hkl)
20.51	100	1 0 1
30.97	34	2 -1 1
35.13	17	2 0 1
38.18	67	1 1 2
45.65	23	2 1 1
49.94	22	3 0 0
51.13	15	2 0 3
59.95	14	2 -1 4
62.53	12	4 -1 1
64.56	14	4 -2 2

---

(3)
Computed powder XRD pattern of CrReIrCl2 for Cu Kα X-rays, from a cell relaxed with PBE.
Kinematic intensities with the Lorentz-polarization factor, no thermal factor.

Crystal structure
Lattice parameters (Å, degrees): 4.6797 4.6797 4.9479 90.00 90.00 90.00
Space group P4/mmm (No. 123)
Unique sites:
1 Cr 0.0000 0.0000 0.0000 x1
2 Re 0.5000 0.5000 0.0000 x1
3 Ir 0.5000 0.5000 0.5000 x1
4 Cl 0.0000 0.5000 0.5000 x2

Most intense lines, 5° ≤ 2θ ≤ 70°, low angle first:
2theta	I (rel.)	(hkl)
18.96	100	1 0 0
26.94	54	1 1 0
36.31	25	0 0 2
38.47	42	2 0 0
41.28	29	1 0 2
43.23	25	2 1 0
45.79	27	1 1 2
53.94	31	2 0 2
57.70	22	2 1 2
68.19	15	2 2 2

---

(4)
Computed powder XRD pattern of K2LiCrCl6 for Cu Kα X-rays, from a cell relaxed with PBE.
Kinematic intensities with the Lorentz-polarization factor, no thermal factor.

Crystal structure
Lattice parameters (Å, degrees): 6.9833 6.9833 6.1177 90.00 90.00 120.00
Space group P-3m1 (No. 164)
Unique sites:
1 K 0.3333 0.6667 0.3039 x2
2 Li 0.0000 0.0000 0.0000 x1
3 Cr 0.0000 0.0000 0.5000 x1
4 Cl 0.1579 0.3157 0.7282 x6

Most intense lines, 5° ≤ 2θ ≤ 70°, low angle first:
2theta	I (rel.)	(hkl)
14.48	24	0 0 1
14.65	31	1 0 0
20.65	10	1 0 1
29.20	17	0 0 2
29.50	19	2 0 0
33.04	100	0 2 1
42.02	35	0 2 2
52.41	22	2 2 0
54.26	19	2 0 3
63.37	11	4 0 1

---

(5)
Computed powder XRD pattern of KMnCrCl5 for Cu Kα X-rays, from a cell relaxed with PBE.
Kinematic intensities with the Lorentz-polarization factor, no thermal factor.

Crystal structure
Lattice parameters (Å, degrees): 8.9731 11.6692 8.8619 90.00 108.50 90.00
Space group C2/c (No. 15)
Unique sites:
1 K 0.0000 0.1400 0.2500 x4
2 Mn 0.0000 0.1996 0.7500 x4
3 Cr 0.0000 0.5000 0.0000 x4
4 Cl 0.0000 0.4240 0.2500 x4
5 Cl 0.1247 0.3222 0.6105 x8
6 Cl 0.1706 0.0855 0.9454 x8

Most intense lines, 5° ≤ 2θ ≤ 70°, low angle first:
2theta	I (rel.)	(hkl)
20.88	100	2 0 0
21.78	88	1 1 -2
25.17	47	1 3 0
25.35	63	2 2 -1
26.13	56	0 2 2
28.64	93	1 3 1
30.84	45	1 3 -2
32.91	45	3 1 -2
39.31	56	3 3 0
47.35	46	1 3 -4

---

(6)
Computed powder XRD pattern of KNa2CrCl6 for Cu Kα X-rays, from a cell relaxed with PBE.
Kinematic intensities with the Lorentz-polarization factor, no thermal factor.

Crystal structure
Lattice parameters (Å, degrees): 6.9785 6.9785 18.8312 90.00 90.00 120.00
Space group R3 (No. 146, hexagonal axes)
Unique sites:
1 K 0.0000 0.0000 0.0000 x3
2 Na 0.0000 0.0000 0.2874 x3
3 Na 0.0000 0.0000 0.8040 x3
4 Cr 0.0000 0.0000 0.4843 x3
5 Cl 0.0080 0.2883 0.5551 x9
6 Cl 0.0198 0.7402 0.4079 x9

Most intense lines, 5° ≤ 2θ ≤ 70°, low angle first:
2theta	I (rel.)	(hkl)
15.40	30	1 0 1
17.44	62	0 1 2
23.96	31	1 0 4
29.28	100	2 -1 3
35.29	17	0 2 4
38.58	76	2 -1 6
44.06	30	3 -1 4
45.00	41	3 0 0
50.89	20	1 1 9
60.74	14	2 2 6

---

(7)
Computed powder XRD pattern of KNa2CrCl8 for Cu Kα X-rays, from a cell relaxed with PBE.
Kinematic intensities with the Lorentz-polarization factor, no thermal factor.

Crystal structure
Lattice parameters (Å, degrees): 5.6284 6.4169 8.9258 90.01 90.18 91.37
Space group P-1 (No. 2)
Unique sites:
1 K 0.0000 0.0000 0.0000 x1
2 Na 0.4988 0.5000 0.7205 x2
3 Cr 0.0000 0.0000 0.5000 x1
4 Cl 0.2183 0.3099 0.4990 x2
5 Cl 0.2373 0.8681 0.3139 x2
6 Cl 0.2392 0.8705 0.6871 x2
7 Cl 0.2479 0.4885 0.0000 x2

Most intense lines, 5° ≤ 2θ ≤ 70°, low angle first:
2theta	I (rel.)	(hkl)
9.91	93	0 0 1
17.02	72	0 1 -1
20.75	32	1 -1 0
21.25	82	1 1 0
25.47	70	1 0 2
28.90	77	1 -1 2
31.79	41	1 -2 0
32.46	46	1 2 0
37.09	36	1 1 -3
40.15	100	2 -1 2

---

Please write out number 2 again, unchanged.
Computed powder XRD pattern of VCrInCl6 for Cu Kα X-rays, from a cell relaxed with PBE.
Kinematic intensities with the Lorentz-polarization factor, no thermal factor.

Crystal structure
Lattice parameters (Å, degrees): 6.3257 6.3257 7.0706 90.00 90.00 120.00
Space group P312 (No. 149)
Unique sites:
1 V 0.0000 0.0000 0.0000 x1
2 Cr 0.3333 0.6667 0.0000 x1
3 In 0.6667 0.3333 0.5000 x1
4 Cl 0.0351 0.3374 0.8081 x6

Most intense lines, 5° ≤ 2θ ≤ 70°, low angle first:
2theta	I (rel.)	(hkl)
20.51	100	1 0 1
30.97	34	2 -1 1
35.13	17	2 0 1
38.18	67	1 1 2
45.65	23	2 1 1
49.94	22	3 0 0
51.13	15	2 0 3
59.95	14	2 -1 4
62.53	12	4 -1 1
64.56	14	4 -2 2

---

Please write out number 5 again, unchanged.
Computed powder XRD pattern of KMnCrCl5 for Cu Kα X-rays, from a cell relaxed with PBE.
Kinematic intensities with the Lorentz-polarization factor, no thermal factor.

Crystal structure
Lattice parameters (Å, degrees): 8.9731 11.6692 8.8619 90.00 108.50 90.00
Space group C2/c (No. 15)
Unique sites:
1 K 0.0000 0.1400 0.2500 x4
2 Mn 0.0000 0.1996 0.7500 x4
3 Cr 0.0000 0.5000 0.0000 x4
4 Cl 0.0000 0.4240 0.2500 x4
5 Cl 0.1247 0.3222 0.6105 x8
6 Cl 0.1706 0.0855 0.9454 x8

Most intense lines, 5° ≤ 2θ ≤ 70°, low angle first:
2theta	I (rel.)	(hkl)
20.88	100	2 0 0
21.78	88	1 1 -2
25.17	47	1 3 0
25.35	63	2 2 -1
26.13	56	0 2 2
28.64	93	1 3 1
30.84	45	1 3 -2
32.91	45	3 1 -2
39.31	56	3 3 0
47.35	46	1 3 -4